1.
Starting from the PBE geometry in the Materials Project, the powder diffraction line list of MgSi2 was simulated for Cu Kα X-rays.
Kinematic intensities with the Lorentz-polarization factor, no thermal factor.

Structure:
abc: 3.499 11.077 5.346
angles: 90.00 90.00 90.00
Positions (direct):
1 Mg 0.000 0.182 0.250
2 Mg 0.000 0.818 0.750
3 Mg 0.500 0.318 0.750
4 Mg 0.500 0.682 0.250
5 Si 0.000 0.117 0.750
6 Si 0.000 0.500 0.000
7 Si 0.000 0.500 0.500
8 Si 0.000 0.883 0.250
9 Si 0.500 0.000 0.000
10 Si 0.500 0.000 0.500
11 Si 0.500 0.383 0.250
12 Si 0.500 0.617 0.750

Largest 12 diffraction maxima, by angle, 5° ≤ 2θ ≤ 70°:
- d = 5.539 Å, I = 20
- d = 2.673 Å, I = 8
- d = 2.540 Å, I = 100
- d = 2.459 Å, I = 18
- d = 2.407 Å, I = 31
- d = 2.294 Å, I = 27
- d = 2.086 Å, I = 80
- d = 1.923 Å, I = 31
- d = 1.749 Å, I = 21
- d = 1.745 Å, I = 10
- d = 1.415 Å, I = 11
- d = 1.392 Å, I = 15

=====

2.
Starting from the PBE geometry in the Materials Project, the powder diffraction line list of Sr3Cr was simulated for Cu Kα X-rays.
Kinematic intensities with the Lorentz-polarization factor, no thermal factor.

Structure:
abc: 5.536 5.536 5.536
angles: 90.00 90.00 90.00
Positions (direct):
1 Sr 0.000 0.000 0.500
2 Sr 0.000 0.500 0.000
3 Sr 0.500 0.000 0.000
4 Cr 0.500 0.500 0.500

Largest 12 diffraction maxima, by angle, 5° ≤ 2θ ≤ 70°:
- d = 5.536 Å, I = 3
- d = 3.914 Å, I = 3
- d = 3.196 Å, I = 100
- d = 2.768 Å, I = 51
- d = 2.476 Å, I = 2
- d = 2.260 Å, I = 1
- d = 1.957 Å, I = 36
- d = 1.845 Å, I = 1
- d = 1.669 Å, I = 43
- d = 1.598 Å, I = 12
- d = 1.479 Å, I = 1
- d = 1.384 Å, I = 6

=====

3.
Starting from the PBE geometry in the Materials Project, the powder diffraction line list of Li3B2SbO6 was simulated for Cu Kα X-rays.
Kinematic intensities with the Lorentz-polarization factor, no thermal factor.

Structure:
abc: 8.883 6.492 10.206
angles: 90.00 117.13 90.00
Positions (direct):
1 Li 0.108 0.244 0.479
2 Li 0.108 0.256 0.979
3 Li 0.210 0.562 0.170
4 Li 0.210 0.938 0.670
5 Li 0.344 0.720 0.547
6 Li 0.344 0.780 0.047
7 Li 0.656 0.220 0.953
8 Li 0.656 0.280 0.453
9 Li 0.790 0.062 0.330
10 Li 0.790 0.438 0.830
11 Li 0.892 0.744 0.021
12 Li 0.892 0.756 0.521
13 B 0.039 0.664 0.823
14 B 0.039 0.836 0.323
15 B 0.449 0.169 0.111
16 B 0.449 0.331 0.611
17 B 0.551 0.669 0.389
18 B 0.551 0.831 0.889
19 B 0.961 0.164 0.677
20 B 0.961 0.336 0.177
21 Sb 0.307 0.031 0.298
22 Sb 0.307 0.469 0.798
23 Sb 0.693 0.531 0.202
24 Sb 0.693 0.969 0.702
25 O 0.084 0.706 0.711
26 O 0.084 0.794 0.211
27 O 0.117 0.213 0.685
28 O 0.117 0.287 0.185
29 O 0.159 0.560 0.947
30 O 0.159 0.940 0.447
31 O 0.295 0.068 0.063
32 O 0.295 0.432 0.563
33 O 0.438 0.670 0.241
34 O 0.438 0.830 0.741
35 O 0.490 0.224 0.514
36 O 0.490 0.276 0.014
37 O 0.510 0.724 0.986
38 O 0.510 0.776 0.486
39 O 0.562 0.170 0.259
40 O 0.562 0.330 0.759
41 O 0.705 0.568 0.437
42 O 0.705 0.932 0.937
43 O 0.841 0.060 0.553
44 O 0.841 0.440 0.053
45 O 0.883 0.713 0.815
46 O 0.883 0.787 0.315
47 O 0.916 0.206 0.789
48 O 0.916 0.294 0.289

Largest 12 diffraction maxima, by angle, 5° ≤ 2θ ≤ 70°:
- d = 7.906 Å, I = 19
- d = 5.054 Å, I = 100
- d = 4.542 Å, I = 32
- d = 4.027 Å, I = 19
- d = 3.938 Å, I = 70
- d = 3.007 Å, I = 23
- d = 2.744 Å, I = 17
- d = 2.528 Å, I = 24
- d = 2.508 Å, I = 29
- d = 2.481 Å, I = 23
- d = 2.326 Å, I = 21
- d = 1.710 Å, I = 16